(1)
The following is a calculated powder XRD pattern of CrSi2PbO6. It was derived from a crystal structure in Alexandria, relaxed with PBE+U, using Cu Kα, 1.54184 Å.
No peak broadening, texture or thermal motion is included.

Atomic structure:
Cell lengths 10.2490, 9.6937, 5.3632 Å; angles 90.00, 105.36, 90.00 degrees
Space group C2/c (No. 15)
One atom of each set of equivalent atoms:
Cr  0.0000  0.0997  0.2500
Si  0.2214  0.4108  0.2867
Pb  0.0000  0.2976  0.7500
O  0.1119  0.0895  0.6337
O  0.1460  0.2657  0.2048
O  0.1704  0.4838  0.5280

The 10 most intense peaks (5 to 70 degrees two-theta), sorted by position:
(2 0 0), 4.942 Å, rel. 90
(1 1 -1), 4.569 Å, rel. 86
(1 1 1), 3.817 Å, rel. 77
(2 2 0), 3.460 Å, rel. 83
(2 2 -1), 3.159 Å, rel. 100
(3 1 -1), 3.028 Å, rel. 71
(1 3 -1), 2.742 Å, rel. 51
(2 2 1), 2.657 Å, rel. 49
(0 0 2), 2.587 Å, rel. 74
(1 5 0), 1.902 Å, rel. 51

---

(2)
The following is a calculated powder XRD pattern of CrPbW2O8. It was derived from a crystal structure in Alexandria, relaxed with PBE+U, using Cu Kα, 1.54184 Å.
No peak broadening, texture or thermal motion is included.

Atomic structure:
Cell lengths 5.9023, 5.9023, 6.8481 Å; angles 90.00, 90.00, 120.00 degrees
Space group P-3m1 (No. 164)
One atom of each set of equivalent atoms:
Cr  0.0000  0.0000  0.0000
Pb  0.0000  0.0000  0.5000
W  0.3333  0.6667  0.2749
O  0.1615  0.3230  0.1976
O  0.3333  0.6667  0.5353

The 10 most intense peaks (5 to 70 degrees two-theta), sorted by position:
(1 0 1), 4.096 Å, rel. 100
(1 1 0), 2.951 Å, rel. 72
(1 0 2), 2.845 Å, rel. 55
(1 1 1), 2.710 Å, rel. 19
(0 1 3), 2.084 Å, rel. 22
(0 2 2), 2.048 Å, rel. 30
(2 1 1), 1.859 Å, rel. 24
(3 0 0), 1.703 Å, rel. 22
(2 1 2), 1.683 Å, rel. 25
(2 2 0), 1.475 Å, rel. 26

---

(3)
The following is a calculated powder XRD pattern of ZrCr2PbO8. It was derived from a crystal structure in Alexandria, relaxed with PBE+U, using Cu Kα, 1.54184 Å.
No peak broadening, texture or thermal motion is included.

Atomic structure:
Cell lengths 8.8585, 5.8239, 7.4080 Å; angles 90.00, 90.03, 90.00 degrees
Space group C2/m (No. 12)
One atom of each set of equivalent atoms:
Zr  0.0000  0.0000  0.0000
Cr  0.1394  0.5000  0.2304
Pb  0.0000  0.0000  0.5000
O  0.0300  0.2454  0.2077
O  0.2108  0.5000  0.4377
O  0.2338  0.0000  0.9416

The 10 most intense peaks (5 to 70 degrees two-theta), sorted by position:
(1 1 0), 4.866 Å, rel. 65
(2 0 0), 4.429 Å, rel. 41
(1 1 -1), 4.068 Å, rel. 40
(2 0 1), 3.801 Å, rel. 21
(1 1 2), 2.947 Å, rel. 100
(0 2 0), 2.912 Å, rel. 31
(3 1 0), 2.634 Å, rel. 47
(2 2 2), 2.034 Å, rel. 28
(1 3 2), 1.688 Å, rel. 20
(4 2 2), 1.592 Å, rel. 25

---

(4)
The following is a calculated powder XRD pattern of Pm2CrO4. It was derived from a crystal structure in Alexandria, relaxed with PBE+U, using Cu Kα, 1.54184 Å.
No peak broadening, texture or thermal motion is included.

Atomic structure:
Cell lengths 3.8923, 3.8923, 12.6586 Å; angles 90.00, 90.00, 90.00 degrees
Space group I4/mmm (No. 139)
One atom of each set of equivalent atoms:
Pm  0.0000  0.0000  0.1379
Cr  0.0000  0.0000  0.5000
O  0.0000  0.0000  0.3138
O  0.0000  0.5000  0.0000

The 10 most intense peaks (5 to 70 degrees two-theta), sorted by position:
(1 0 1), 3.720 Å, rel. 38
(0 0 4), 3.165 Å, rel. 16
(1 0 3), 2.861 Å, rel. 100
(1 1 0), 2.752 Å, rel. 73
(1 0 5), 2.122 Å, rel. 21
(1 1 4), 2.077 Å, rel. 36
(2 0 0), 1.946 Å, rel. 36
(1 0 7), 1.640 Å, rel. 15
(2 1 3), 1.609 Å, rel. 37
(2 2 0), 1.376 Å, rel. 11

---

(5)
The following is a calculated powder XRD pattern of Pm2CrRuO8. It was derived from a crystal structure in Alexandria, relaxed with PBE+U, using Cu Kα, 1.54184 Å.
No peak broadening, texture or thermal motion is included.

Atomic structure:
Cell lengths 4.6713, 4.9012, 6.7277 Å; angles 90.03, 90.19, 93.42 degrees
Space group P-1 (No. 2)
One atom of each set of equivalent atoms:
Pm  0.0921  0.0556  0.2435
Cr  0.5000  0.5000  0.0000
Ru  0.5000  0.5000  0.5000
O  0.2118  0.2477  0.5504
O  0.2182  0.2270  0.9498
O  0.2939  0.6249  0.2479
O  0.3715  0.7293  0.7413

The 10 most intense peaks (5 to 70 degrees two-theta), sorted by position:
(1 0 -1), 3.837 Å, rel. 28
(1 -1 0), 3.481 Å, rel. 100
(1 1 0), 3.279 Å, rel. 40
(1 1 1), 2.946 Å, rel. 22
(0 1 2), 2.772 Å, rel. 78
(1 0 -2), 2.732 Å, rel. 27
(1 0 2), 2.724 Å, rel. 32
(1 2 -1), 2.018 Å, rel. 25
(2 1 -1), 1.968 Å, rel. 21
(-1 2 2), 1.854 Å, rel. 44

---

(6)
The following is a calculated powder XRD pattern of PmTa2CrO8. It was derived from a crystal structure in Alexandria, relaxed with PBE+U, using Cu Kα, 1.54184 Å.
No peak broadening, texture or thermal motion is included.

Atomic structure:
Cell lengths 7.0961, 6.7289, 6.4476 Å; angles 90.00, 91.12, 90.00 degrees
Space group C2/m (No. 12)
One atom of each set of equivalent atoms:
Pm  0.0000  0.0000  0.0000
Ta  0.0226  0.5000  0.2599
Cr  0.0000  0.0000  0.5000
O  0.0064  0.2111  0.7194
O  0.1734  0.5000  0.0099
O  0.1934  0.5000  0.4987

The 10 most intense peaks (5 to 70 degrees two-theta), sorted by position:
(1 1 0), 4.882 Å, rel. 34
(2 0 0), 3.547 Å, rel. 100
(0 2 0), 3.364 Å, rel. 87
(1 1 -2), 2.707 Å, rel. 80
(1 1 2), 2.673 Å, rel. 75
(2 2 0), 2.441 Å, rel. 45
(3 1 -2), 1.851 Å, rel. 35
(3 1 2), 1.819 Å, rel. 32
(1 3 -2), 1.787 Å, rel. 29
(1 3 2), 1.777 Å, rel. 28

---

(7)
The following is a calculated powder XRD pattern of Pm3Tl3CrO8. It was derived from a crystal structure in Alexandria, relaxed with PBE+U, using Cu Kα, 1.54184 Å.
No peak broadening, texture or thermal motion is included.

Atomic structure:
Cell lengths 12.0183, 6.9770, 7.6717 Å; angles 90.00, 121.93, 90.00 degrees
Space group C2/m (No. 12)
One atom of each set of equivalent atoms:
Pm  0.0000  0.0000  0.0000
Pm  0.2500  0.2500  0.0000
Tl  0.0000  0.5000  0.5000
Tl  0.2500  0.2500  0.5000
Cr  0.0000  0.5000  0.0000
O  0.0179  0.2812  0.8362
O  0.1975  0.5000  0.1620
O  0.2266  0.0000  0.1762

The 10 most intense peaks (5 to 70 degrees two-theta), sorted by position:
(1 1 -1), 5.142 Å, rel. 23
(0 0 2), 3.256 Å, rel. 52
(2 2 0), 2.879 Å, rel. 100
(2 2 -2), 2.571 Å, rel. 74
(4 0 0), 2.550 Å, rel. 36
(2 2 2), 1.894 Å, rel. 26
(6 2 -2), 1.737 Å, rel. 23
(2 2 -4), 1.643 Å, rel. 17
(0 4 2), 1.537 Å, rel. 24
(4 4 0), 1.439 Å, rel. 17

---

(8)
The following is a calculated powder XRD pattern of PmZrCr2O6. It was derived from a crystal structure in Alexandria, relaxed with PBE+U, using Cu Kα, 1.54184 Å.
No peak broadening, texture or thermal motion is included.

Atomic structure:
Cell lengths 5.3938, 5.4963, 5.6997 Å; angles 63.20, 89.96, 60.99 degrees
Space group P1 (No. 1)
One atom of each set of equivalent atoms:
Pm  0.0000  0.0000  0.0000
Zr  0.5254  0.9597  0.5498
Cr  0.2254  0.5557  0.6477
Cr  0.7303  0.5367  0.1760
O  0.1474  0.0117  0.3936
O  0.3529  0.0907  0.8454
O  0.4527  0.4246  0.3891
O  0.5722  0.4938  0.8628
O  0.8409  0.7224  0.3828
O  0.9402  0.6935  0.8649

The 10 most intense peaks (5 to 70 degrees two-theta), sorted by position:
(0 1 0), 4.120 Å, rel. 49
(1 0 -1), 3.910 Å, rel. 100
(1 0 1), 2.937 Å, rel. 97
(1 1 -1), 2.919 Å, rel. 93
(0 1 2), 2.838 Å, rel. 82
(-1 1 1), 2.759 Å, rel. 85
(1 2 1), 2.744 Å, rel. 76
(2 1 0), 2.697 Å, rel. 74
(0 2 0), 2.060 Å, rel. 43
(2 0 -2), 1.955 Å, rel. 70

---

> Number 7 is which compound?

Pm3Tl3CrO8

---

> What is the formula in the eighth record?

PmZrCr2O6

---

Please write out number 2 again, unchanged.
The following is a calculated powder XRD pattern of CrPbW2O8. It was derived from a crystal structure in Alexandria, relaxed with PBE+U, using Cu Kα, 1.54184 Å.
No peak broadening, texture or thermal motion is included.

Atomic structure:
Cell lengths 5.9023, 5.9023, 6.8481 Å; angles 90.00, 90.00, 120.00 degrees
Space group P-3m1 (No. 164)
One atom of each set of equivalent atoms:
Cr  0.0000  0.0000  0.0000
Pb  0.0000  0.0000  0.5000
W  0.3333  0.6667  0.2749
O  0.1615  0.3230  0.1976
O  0.3333  0.6667  0.5353

The 10 most intense peaks (5 to 70 degrees two-theta), sorted by position:
(1 0 1), 4.096 Å, rel. 100
(1 1 0), 2.951 Å, rel. 72
(1 0 2), 2.845 Å, rel. 55
(1 1 1), 2.710 Å, rel. 19
(0 1 3), 2.084 Å, rel. 22
(0 2 2), 2.048 Å, rel. 30
(2 1 1), 1.859 Å, rel. 24
(3 0 0), 1.703 Å, rel. 22
(2 1 2), 1.683 Å, rel. 25
(2 2 0), 1.475 Å, rel. 26